Pr4Dy5Th: simulated PXRD pattern (Cu Kα (weighted mean of Kα1 and Kα2)), based on a cell relaxed with PBE.
Intensities are scaled so that the largest is 100.

The 8 most intense peaks (2θ = 10–80°), in order of rising 2θ:
30.15°, rel. 100; 30.41°, rel. 98; 35.08°, rel. 34; 35.11°, rel. 67; 50.48°, rel. 47; 59.79°, rel. 29; 59.90°, rel. 14; 60.25°, rel. 28

Structure:
a b c (Å): 13.040 13.040 7.184
angles (deg): 97.81 97.81 16.03
Fractional coordinates of all 10 atoms:
Pr  0.097  0.097  0.299
Pr  0.300  0.300  0.899
Pr  0.700  0.700  0.101
Pr  0.903  0.903  0.701
Dy  0.097  0.097  0.803
Dy  0.300  0.300  0.398
Dy  0.500  0.500  0.500
Dy  0.700  0.700  0.602
Dy  0.903  0.903  0.197
Th  0.500  0.500  0.000